Diffraction record for MnTlSbF6. The X-ray powder pattern is computed, not measured: it uses DFT lattice parameters and positions (GGA+U) and Cu Ka.
Kinematic intensities with the Lorentz-polarization factor, no thermal factor.

Cell: 5.494 5.990 5.996 Å, 60.04 89.96 89.94°
Space group P1 (No. 1)
Symmetry-distinct sites (fractional):
Mn 0.000 0.000 0.000
Tl 0.476 0.667 0.667
Sb 0.951 0.333 0.334
F 0.193 0.102 0.264
F 0.193 0.263 0.634
F 0.193 0.633 0.103
F 0.807 0.710 0.316
F 0.807 0.975 0.710
F 0.808 0.317 0.975

Principal peaks in the range 2θ = 10–90°, low angle first:
two_theta, I/Imax, h k l
17.08, 14, 0 1 1
23.58, 100, 1 1 0
29.81, 34, 0 2 1
37.03, 7, 2 1 1
38.36, 28, 1 0 -2
44.75, 34, 2 1 2
49.32, 28, 1 1 3
52.91, 12, 0 3 3
53.03, 11, 3 1 0
63.55, 8, 2 3 0
67.21, 9, 1 4 3
70.31, 8, 3 -1 2